Record 1
# SrZn3Ir
Theoretical X-ray diffraction stick pattern, copper Kα. Input: the PBE geometry in OQMD.

Principal peaks in the range 10° ≤ 2θ ≤ 80°, sorted by position:
d 4.849, 2θ 18.3, rel. 70; d 3.428, 2θ 26.0, rel. 88; d 2.424, 2θ 37.1, rel. 100; d 2.168, 2θ 41.7, rel. 36; d 1.979, 2θ 45.8, rel. 39; d 1.714, 2θ 53.5, rel. 69; d 1.616, 2θ 57.0, rel. 18; d 1.533, 2θ 60.4, rel. 17; d 1.400, 2θ 66.8, rel. 23; d 1.296, 2θ 73.0, rel. 20

```
5
Lattice="4.8485 0.0000 0.0000 0.0000 4.8485 0.0000 0.0000 0.0000 4.8485" Properties=species:S:1:pos:R:3 pbc="T T T"
Sr 0.0000 0.0000 0.0000
Zn 0.0000 2.4243 2.4243
Zn 2.4243 0.0000 2.4243
Zn 2.4243 2.4243 0.0000
Ir 2.4243 2.4243 2.4243
```

=====

Record 2
# Zn12Au31
Theoretical X-ray diffraction stick pattern, copper Kα. Input: the PBE geometry in OQMD.

Principal peaks in the range 10° ≤ 2θ ≤ 80°, sorted by position:
d 3.004, 2θ 29.7, rel. 10; d 2.495, 2θ 36.0, rel. 21; d 2.445, 2θ 36.8, rel. 21; d 2.299, 2θ 39.2, rel. 100; d 2.235, 2θ 40.4, rel. 96; d 2.067, 2θ 43.8, rel. 12; d 1.603, 2θ 57.5, rel. 18; d 1.413, 2θ 66.1, rel. 12; d 1.302, 2θ 72.6, rel. 15; d 1.204, 2θ 79.6, rel. 18

```
43
Lattice="7.7425 0.0000 0.0000 -3.8712 6.7052 0.0000 0.0000 0.0000 14.2899" Properties=species:S:1:pos:R:3 pbc="T T T"
Zn 0.0000 0.0000 2.8901
Zn 0.0000 0.0000 11.3999
Zn -1.3717 2.3758 0.0000
Zn -2.6239 4.5448 7.1450
Zn 1.2473 2.1604 7.1450
Zn 0.0000 4.4701 4.0017
Zn 0.0000 4.4701 11.2181
Zn 2.7433 0.0000 0.0000
Zn 2.4996 4.3294 0.0000
Zn 3.8712 2.2351 3.0718
Zn 3.8712 2.2351 10.2882
Zn 5.2479 0.0000 7.1450
Au 0.0000 0.0000 0.0000
Au 0.0000 0.0000 5.7414
Au 0.0000 0.0000 8.5485
Au -1.1742 2.3977 2.8130
Au -2.4472 4.6763 9.9883
Au -2.2640 4.6664 12.9233
Au -1.0107 2.7137 5.8065
Au 1.0451 2.2477 9.9883
Au 0.9621 2.4113 12.9233
Au -1.2077 6.5233 2.8130
Au 0.0000 4.4701 1.0447
Au 0.0000 4.4701 8.2581
Au -1.0157 6.2237 5.8065
Au 1.4240 2.0289 4.3016
Au 2.6636 0.1819 11.4770
Au 1.6072 2.0388 1.3667
Au 2.8555 0.4815 8.4834
Au 2.0265 4.4730 5.8065
Au 1.3020 6.3327 12.9233
Au 2.3819 4.4894 2.8130
Au 1.4021 6.4864 9.9883
Au 3.8712 2.2351 6.0318
Au 3.8712 2.2351 13.2452
Au 2.8605 3.9915 8.4834
Au 2.6970 4.3075 11.4770
Au 5.1732 0.3725 1.3667
Au 5.2734 0.2188 4.3016
Au 5.8977 2.2322 8.4834
Au 4.8333 4.2939 1.3667
Au 4.9163 4.4575 4.3016
Au 6.2531 2.2158 11.4770
```

=====

Record 3
# TbDy2Mg3Ir3
Theoretical X-ray diffraction stick pattern, copper Kα. Input: the PBE geometry in OQMD.

Principal peaks in the range 10° ≤ 2θ ≤ 80°, sorted by position:
d 3.630, 2θ 24.5, rel. 52; d 3.408, 2θ 26.1, rel. 27; d 2.705, 2θ 33.1, rel. 70; d 2.485, 2θ 36.2, rel. 100; d 2.096, 2θ 43.2, rel. 40; d 2.050, 2θ 44.2, rel. 37; d 2.028, 2θ 44.7, rel. 24; d 1.602, 2θ 57.5, rel. 17; d 1.457, 2θ 63.9, rel. 25; d 1.359, 2θ 69.1, rel. 26

```
9
Lattice="4.0553 0.0000 0.0000 0.0000 6.2889 3.6297 0.0000 -6.2889 3.6297" Properties=species:S:1:pos:R:3 pbc="T T T"
Tb 0.0000 0.0000 0.0000
Dy 0.0000 -2.5735 2.8003
Dy 0.0000 2.5735 2.8003
Mg 2.0277 0.0000 2.5125
Mg 2.0277 -1.5389 5.1717
Mg 2.0277 1.5389 5.1717
Ir 0.0000 0.0000 4.2813
Ir 2.0277 -4.1870 4.2868
Ir 2.0277 4.1870 4.2868
```

=====

Record 4
# PrGdCl3
Theoretical X-ray diffraction stick pattern, copper Kα. Input: the PBE geometry in OQMD.

Principal peaks in the range 10° ≤ 2θ ≤ 80°, sorted by position:
d 7.440, 2θ 11.9, rel. 74; d 5.062, 2θ 17.5, rel. 26; d 3.444, 2θ 25.9, rel. 38; d 3.377, 2θ 26.4, rel. 100; d 3.145, 2θ 28.4, rel. 46; d 2.761, 2θ 32.4, rel. 46; d 2.528, 2θ 35.5, rel. 58; d 2.443, 2θ 36.8, rel. 39; d 2.023, 2θ 44.8, rel. 28; d 1.565, 2θ 59.0, rel. 26

```
10
Lattice="7.8106 -1.9938 0.0000 7.8106 1.9938 0.0000 -4.8956 0.0000 9.1281" Properties=species:S:1:pos:R:3 pbc="T T T"
Pr -0.7636 0.0000 4.0736
Pr 11.4892 0.0000 5.0545
Gd 4.6270 0.0000 1.8646
Gd 6.0986 0.0000 7.2634
Cl 2.4832 0.0000 0.0540
Cl 2.3591 0.0000 3.4057
Cl 3.3893 0.0000 7.0838
Cl 7.3363 0.0000 2.0442
Cl 8.3665 0.0000 5.7224
Cl 8.2424 0.0000 9.0741
```

=====

Record 5
# Rb2SbPt
Theoretical X-ray diffraction stick pattern, copper Kα. Input: the PBE geometry in OQMD.

Principal peaks in the range 10° ≤ 2θ ≤ 80°, sorted by position:
d 5.265, 2θ 16.8, rel. 81; d 3.632, 2θ 24.5, rel. 28; d 3.040, 2θ 29.4, rel. 100; d 2.632, 2θ 34.1, rel. 15; d 2.265, 2θ 39.8, rel. 57; d 1.990, 2θ 45.6, rel. 13; d 1.817, 2θ 50.2, rel. 17; d 1.755, 2θ 52.1, rel. 20; d 1.558, 2θ 59.3, rel. 23; d 1.520, 2θ 61.0, rel. 12

```
4
Lattice="5.2687 -3.0374 0.0000 5.2687 3.0374 0.0000 -0.0117 0.0000 5.0171" Properties=species:S:1:pos:R:3 pbc="T T T"
Rb 1.7540 0.0000 0.9543
Rb 8.7717 0.0000 4.0628
Sb 5.2629 0.0000 2.5086
Pt 5.2687 0.0000 0.0000
```

=====

Record 6
# Sr5Cd2Sb5F
Theoretical X-ray diffraction stick pattern, copper Kα. Input: the PBE geometry in OQMD.

Principal peaks in the range 10° ≤ 2θ ≤ 80°, sorted by position:
d 3.263, 2θ 27.3, rel. 36; d 3.125, 2θ 28.6, rel. 51; d 2.989, 2θ 29.9, rel. 79; d 2.912, 2θ 30.7, rel. 100; d 2.790, 2θ 32.1, rel. 29; d 2.726, 2θ 32.8, rel. 42; d 2.511, 2θ 35.8, rel. 27; d 2.392, 2θ 37.6, rel. 68; d 2.160, 2θ 41.8, rel. 27; d 2.111, 2θ 42.8, rel. 33

```
26
Lattice="2.3917 -11.1590 0.0000 2.3917 11.1590 0.0000 0.0000 0.0000 14.8826" Properties=species:S:1:pos:R:3 pbc="T T T"
Sr 0.0000 0.0000 0.0000
Sr 0.0000 0.0000 7.4413
Sr 2.3917 8.9780 11.1619
Sr 2.3917 8.9182 3.7206
Sr 2.3917 5.1085 9.2224
Sr 2.3917 5.1085 13.1015
Sr 2.3917 -5.1085 1.7811
Sr 2.3917 -5.1085 5.6602
Sr 2.3917 -8.9182 11.1619
Sr 2.3917 -8.9780 3.7206
Cd 2.3917 2.9432 1.2788
Cd 2.3917 2.9432 6.1625
Cd 2.3917 -2.9432 8.7201
Cd 2.3917 -2.9432 13.6038
Sb 2.3917 7.8268 0.3025
Sb 2.3917 7.8268 7.1388
Sb 2.3917 4.6293 3.7206
Sb 2.3917 0.1033 2.2933
Sb 2.3917 0.1033 5.1480
Sb 2.3917 -0.1033 9.7346
Sb 2.3917 -0.1033 12.5893
Sb 2.3917 -4.6293 11.1619
Sb 2.3917 -7.8268 7.7438
Sb 2.3917 -7.8268 14.5801
F 2.3917 3.4706 11.1619
F 2.3917 -3.4706 3.7206
```

=====

Record 7
# Na3NbBr6
Theoretical X-ray diffraction stick pattern, copper Kα. Input: the PBE geometry in OQMD.

Principal peaks in the range 10° ≤ 2θ ≤ 80°, sorted by position:
d 5.685, 2θ 15.6, rel. 40; d 3.247, 2θ 27.5, rel. 12; d 3.182, 2θ 28.0, rel. 100; d 2.553, 2θ 35.2, rel. 13; d 2.426, 2θ 37.1, rel. 41; d 2.108, 2θ 42.9, rel. 30; d 2.092, 2θ 43.2, rel. 14; d 1.862, 2θ 48.9, rel. 23; d 1.757, 2θ 52.0, rel. 15; d 1.286, 2θ 73.7, rel. 9

```
20
Lattice="7.3007 0.0000 0.0000 -3.6504 6.3226 0.0000 0.0000 0.0000 12.9873" Properties=species:S:1:pos:R:3 pbc="T T T"
Na 0.0000 0.0000 3.2468
Na 0.0000 0.0000 9.7404
Na 0.0000 4.2151 0.4911
Na 0.0000 4.2151 6.0025
Na 3.6504 2.1075 6.9848
Na 3.6504 2.1075 12.4961
Nb 0.0000 4.2151 9.7404
Nb 3.6504 2.1075 3.2468
Br -0.9910 2.3023 8.1735
Br -2.1520 4.3132 11.3074
Br 0.9910 2.3023 11.3074
Br -1.1610 6.0297 8.1735
Br 2.4894 0.2929 1.6799
Br 1.4984 2.0094 4.8138
Br 2.1520 4.3132 8.1735
Br 1.1610 6.0297 11.3074
Br 4.8114 0.2929 4.8138
Br 2.6594 4.0203 1.6799
Br 5.8024 2.0094 1.6799
Br 4.6414 4.0203 4.8138
```

=====

Record 8
# Pd4O11
Theoretical X-ray diffraction stick pattern, copper Kα. Input: the PBE geometry in OQMD.

Principal peaks in the range 10° ≤ 2θ ≤ 80°, sorted by position:
d 4.610, 2θ 19.3, rel. 36; d 4.519, 2θ 19.6, rel. 51; d 3.818, 2θ 23.3, rel. 39; d 3.471, 2θ 25.7, rel. 46; d 3.435, 2θ 25.9, rel. 34; d 3.410, 2θ 26.1, rel. 34; d 3.306, 2θ 27.0, rel. 60; d 2.487, 2θ 36.1, rel. 38; d 2.477, 2θ 36.3, rel. 61; d 2.368, 2θ 38.0, rel. 100

```
15
Lattice="4.9800 0.0000 0.0000 -1.9116 4.9813 0.0000 -0.7063 -2.8394 6.9375" Properties=species:S:1:pos:R:3 pbc="T T T"
Pd 0.0000 0.0000 0.0000
Pd -1.0462 -0.4256 4.7736
Pd 1.1749 1.2760 3.7072
Pd 3.0513 2.2075 1.2690
O 0.0762 -0.7669 1.9130
O -0.8728 1.5320 4.1414
O 0.1145 2.0135 0.8181
O 1.1749 -0.5081 2.6785
O -0.6185 2.3238 6.4842
O 1.0294 2.3639 1.8146
O 1.1339 0.0863 5.3887
O 2.8288 0.2507 0.5943
O 1.5835 2.7254 5.1127
O 2.3123 0.1998 6.1138
O 3.2353 1.1122 3.1372
```

=====

Record 9
# K2MoS4
Theoretical X-ray diffraction stick pattern, copper Kα. Input: the PBE geometry in OQMD.

Principal peaks in the range 10° ≤ 2θ ≤ 80°, sorted by position:
d 5.144, 2θ 17.2, rel. 41; d 5.075, 2θ 17.5, rel. 100; d 4.728, 2θ 18.8, rel. 29; d 3.517, 2θ 25.3, rel. 44; d 3.451, 2θ 25.8, rel. 44; d 3.066, 2θ 29.1, rel. 40; d 3.053, 2θ 29.3, rel. 29; d 2.791, 2θ 32.1, rel. 50; d 2.718, 2θ 33.0, rel. 31; d 2.538, 2θ 35.4, rel. 29

```
28
Lattice="9.4561 0.0000 0.0000 0.0000 6.9017 0.0000 0.0000 0.0000 12.2622" Properties=species:S:1:pos:R:3 pbc="T T T"
K 0.4169 1.7254 1.9921
K 1.4988 5.1762 4.7426
K 3.2292 1.7254 10.8737
K 4.3111 5.1762 8.1232
K 5.1449 1.7254 4.1390
K 6.2269 5.1762 1.3886
K 7.9572 1.7254 7.5197
K 9.0392 5.1762 10.2702
Mo 2.3399 5.1762 0.8391
Mo 2.3881 1.7254 6.9702
Mo 7.0680 5.1762 5.2920
Mo 7.1161 1.7254 11.4231
S 0.1811 5.1762 1.3277
S 1.4254 3.4888 7.8448
S 1.4254 6.8636 7.8448
S 2.0521 1.7254 4.7954
S 2.6760 5.1762 10.9265
S 3.3027 0.0380 1.7137
S 3.3027 3.4128 1.7137
S 4.5469 1.7254 7.4588
S 4.9092 5.1762 4.8035
S 6.1534 3.4888 10.5485
S 6.1534 6.8636 10.5485
S 6.7801 1.7254 1.3358
S 7.4040 5.1762 7.4669
S 8.0307 0.0380 4.4174
S 8.0307 3.4128 4.4174
S 9.2749 1.7254 10.9346
```

=====

Record 10
# TbErAl4Ni2
Theoretical X-ray diffraction stick pattern, copper Kα. Input: the PBE geometry in OQMD.

Principal peaks in the range 10° ≤ 2θ ≤ 80°, sorted by position:
d 4.086, 2θ 21.7, rel. 21; d 3.765, 2θ 23.6, rel. 67; d 3.436, 2θ 25.9, rel. 52; d 2.538, 2θ 35.4, rel. 95; d 2.432, 2θ 37.0, rel. 100; d 2.383, 2θ 37.7, rel. 57; d 2.027, 2θ 44.7, rel. 28; d 1.719, 2θ 53.3, rel. 42; d 1.544, 2θ 59.9, rel. 29; d 1.215, 2θ 78.7, rel. 19

```
8
Lattice="6.8729 0.0000 0.0000 0.0000 2.0269 5.0820 0.0000 -2.0269 5.0820" Properties=species:S:1:pos:R:3 pbc="T T T"
Tb 0.0000 0.0000 0.0000
Er 3.4364 0.0000 8.9155
Al 1.3439 0.0000 2.8663
Al 2.0942 0.0000 6.0502
Al 4.7787 0.0000 6.0502
Al 5.5290 0.0000 2.8663
Ni 0.0000 0.0000 7.3462
Ni 3.4364 0.0000 1.5690
```

=====

Record 11
# Bi2Os2O7
Theoretical X-ray diffraction stick pattern, copper Kα. Input: the PBE geometry in OQMD.

Principal peaks in the range 10° ≤ 2θ ≤ 80°, sorted by position:
d 2.989, 2θ 29.9, rel. 100; d 2.588, 2θ 34.7, rel. 39; d 2.375, 2θ 37.9, rel. 1; d 1.830, 2θ 49.8, rel. 44; d 1.561, 2θ 59.2, rel. 45; d 1.494, 2θ 62.1, rel. 12; d 1.294, 2θ 73.1, rel. 7

```
22
Lattice="0.0000 5.1768 5.1768 5.1768 0.0000 5.1768 5.1768 5.1768 0.0000" Properties=species:S:1:pos:R:3 pbc="T T T"
Bi 0.0000 0.0000 0.0000
Bi 2.5884 2.5884 0.0000
Bi 2.5884 0.0000 2.5884
Bi 0.0000 2.5884 2.5884
Os 5.1768 2.5884 2.5884
Os 2.5884 5.1768 2.5884
Os 2.5884 2.5884 5.1768
Os 5.1768 5.1768 5.1768
O 1.2942 1.2942 1.2942
O 3.8826 3.8826 1.7811
O 3.8826 1.7811 3.8826
O 5.9841 3.8826 3.8826
O 6.4710 6.4710 4.3696
O 6.4710 4.3696 6.4710
O 8.5725 6.4710 6.4710
O 1.7811 3.8826 3.8826
O 3.8826 5.9841 3.8826
O 3.8826 3.8826 5.9841
O 4.3696 6.4710 6.4710
O 6.4710 8.5725 6.4710
O 6.4710 6.4710 8.5725
O 9.0594 9.0594 9.0594
```